Structure and theoretical PXRD pattern of Zr6Ag7F31 (the PBE geometry in the Materials Project; Cu Kα (λ = 1.5418 Å)).

Structure:
```
data_Zr6Ag7F31
_cell_length_a 14.2100
_cell_length_b 14.2100
_cell_length_c 9.9819
_cell_angle_alpha 90.00
_cell_angle_beta 90.00
_cell_angle_gamma 120.00
_symmetry_space_group_name_H-M 'R -3'
_symmetry_Int_Tables_number 148
_symmetry_space_group_name_Hall '-R 3'
loop_
_atom_site_label
_atom_site_fract_x
_atom_site_fract_y
_atom_site_fract_z
_atom_site_occupancy
Zr1 0.0544 0.1875 0.3309 1
Ag1 0.0000 0.0000 0.0000 1
Ag2 0.0314 0.5856 0.6562 1
F1 0.0000 0.0000 0.5000 1
F2 0.0228 0.5750 0.9275 1
F3 0.0361 0.1247 0.7152 1
F4 0.0428 0.6120 0.4015 1
F5 0.0474 0.8381 0.4977 1
F6 0.0552 0.1788 0.1206 1
```

Top 8 peaks for 10° ≤ 2θ ≤ 80°, in order of rising 2θ:
d = 3.327 Å, 2θ 26.79, rel. 36; d = 3.230 Å, 2θ 27.62, rel. 100; d = 2.817 Å, 2θ 31.76, rel. 46; d = 2.014 Å, 2θ 45.00, rel. 39; d = 1.971 Å, 2θ 46.06, rel. 39; d = 1.723 Å, 2θ 53.15, rel. 18; d = 1.696 Å, 2θ 54.09, rel. 32; d = 1.682 Å, 2θ 54.55, rel. 17


Structure and theoretical PXRD pattern of FeAg3 (the PBE geometry in the Materials Project; Cu Kα (λ = 1.5418 Å)).

Structure:
```
data_FeAg3
_cell_length_a 5.7770
_cell_length_b 5.7770
_cell_length_c 4.6397
_cell_angle_alpha 90.00
_cell_angle_beta 90.00
_cell_angle_gamma 120.00
_symmetry_space_group_name_H-M 'P 63/m m c'
_symmetry_Int_Tables_number 194
_symmetry_space_group_name_Hall '-P 6c 2c'
loop_
_atom_site_label
_atom_site_fract_x
_atom_site_fract_y
_atom_site_fract_z
_atom_site_occupancy
Fe1 0.3333 0.6667 0.2500 1
Ag1 0.1694 0.3388 0.7500 1
```

Top 8 peaks for 10° ≤ 2θ ≤ 80°, in order of rising 2θ:
d = 2.502 Å, 2θ 35.90, rel. 24; d = 2.320 Å, 2θ 38.82, rel. 26; d = 2.202 Å, 2θ 40.99, rel. 100; d = 1.701 Å, 2θ 53.90, rel. 14; d = 1.444 Å, 2θ 64.52, rel. 16; d = 1.315 Å, 2θ 71.75, rel. 17; d = 1.226 Å, 2θ 77.92, rel. 18; d = 1.208 Å, 2θ 79.34, rel. 13


> What is the formula in the second record?

FeAg3


What did the second record say?
Structure and theoretical PXRD pattern of FeAg3 (the PBE geometry in the Materials Project; Cu Kα (λ = 1.5418 Å)).

Structure:
```
data_FeAg3
_cell_length_a 5.7770
_cell_length_b 5.7770
_cell_length_c 4.6397
_cell_angle_alpha 90.00
_cell_angle_beta 90.00
_cell_angle_gamma 120.00
_symmetry_space_group_name_H-M 'P 63/m m c'
_symmetry_Int_Tables_number 194
_symmetry_space_group_name_Hall '-P 6c 2c'
loop_
_atom_site_label
_atom_site_fract_x
_atom_site_fract_y
_atom_site_fract_z
_atom_site_occupancy
Fe1 0.3333 0.6667 0.2500 1
Ag1 0.1694 0.3388 0.7500 1
```

Top 8 peaks for 10° ≤ 2θ ≤ 80°, in order of rising 2θ:
d = 2.502 Å, 2θ 35.90, rel. 24; d = 2.320 Å, 2θ 38.82, rel. 26; d = 2.202 Å, 2θ 40.99, rel. 100; d = 1.701 Å, 2θ 53.90, rel. 14; d = 1.444 Å, 2θ 64.52, rel. 16; d = 1.315 Å, 2θ 71.75, rel. 17; d = 1.226 Å, 2θ 77.92, rel. 18; d = 1.208 Å, 2θ 79.34, rel. 13